Entry 1:
The following is a theoretical powder diffraction line list of Tb2Ho2AlGa4. It was derived from the GGA-PBE geometry in Alexandria, using Cu Kα X-rays.
Neutral-atom scattering factors, no anomalous dispersion.

Atomic structure:
```
data_Tb2Ho2AlGa4
_cell_length_a 6.9651
_cell_length_b 6.9651
_cell_length_c 8.8507
_cell_angle_alpha 90.00
_cell_angle_beta 90.00
_cell_angle_gamma 90.00
_symmetry_space_group_name_H-M 'I 4/m m m'
_symmetry_Int_Tables_number 139
_symmetry_space_group_name_Hall '-I 4 2'
loop_
_atom_site_label
_atom_site_type_symbol
_atom_site_fract_x
_atom_site_fract_y
_atom_site_fract_z
_atom_site_occupancy
Tb1 Tb 0.0000 0.0000 0.1881 1
Ho1 Ho 0.0000 0.5000 0.2500 1
Al1 Al 0.0000 0.0000 0.5000 1
Ga1 Ga 0.2497 0.2497 0.0000 1
```

Largest 10 diffraction maxima, by angle, 5° ≤ 2θ ≤ 70°:
hkl  two_theta  I_rel
2 0 0  25.58  195
2 0 2  32.72  1000
1 0 3  32.97  147
2 2 0  36.49  517
0 0 4  40.78  87
2 1 3  42.19  150
4 0 0  52.56  181
2 2 4  55.86  137
4 2 2  63.30  296
4 0 4  68.58  73

Entry 2:
The following is a theoretical powder diffraction line list of BaCu2Bi2O6. It was derived from the GGA-PBE geometry in Alexandria, using Cu Kα X-rays.
Neutral-atom scattering factors, no anomalous dispersion.

Atomic structure:
```
data_BaCu2Bi2O6
_cell_length_a 6.3296
_cell_length_b 6.4346
_cell_length_c 6.6481
_cell_angle_alpha 91.94
_cell_angle_beta 116.38
_cell_angle_gamma 118.32
_symmetry_space_group_name_H-M 'P -1'
_symmetry_Int_Tables_number 2
loop_
_symmetry_equiv_pos_as_xyz
'x,y,z'
'-x,-y,-z'
loop_
_atom_site_label
_atom_site_type_symbol
_atom_site_fract_x
_atom_site_fract_y
_atom_site_fract_z
_atom_site_occupancy
Ba1 Ba 0.0000 0.0000 0.0000 1
Cu1 Cu 0.1970 0.6638 0.7179 1
Bi1 Bi 0.3717 0.3079 0.6803 1
O1 O 0.0516 0.8592 0.6557 1
O2 O 0.2048 0.4170 0.8637 1
O3 O 0.4623 0.6725 0.6397 1
```

Largest 10 diffraction maxima, by angle, 5° ≤ 2θ ≤ 70°:
hkl  two_theta  I_rel
1 -1 0  16.84  1000
0 1 1  26.13  336
1 0 -2  26.94  570
1 1 -1  27.27  701
1 0 1  30.24  729
0 1 -2  30.79  318
0 2 -1  32.07  303
-1 2 1  32.24  317
-2 1 2  33.05  329
1 -3 1  43.92  272

Entry 3:
The following is a theoretical powder diffraction line list of Ac3CdIn3Pb2. It was derived from the GGA-PBE geometry in Alexandria, using Cu Kα X-rays.
Neutral-atom scattering factors, no anomalous dispersion.

Atomic structure:
```
data_Ac3CdIn3Pb2
_cell_length_a 8.3453
_cell_length_b 8.3453
_cell_length_c 4.7693
_cell_angle_alpha 90.00
_cell_angle_beta 90.00
_cell_angle_gamma 120.00
_symmetry_space_group_name_H-M 'P -6 2 m'
_symmetry_Int_Tables_number 189
_symmetry_space_group_name_Hall 'P -6 -2'
loop_
_atom_site_label
_atom_site_type_symbol
_atom_site_fract_x
_atom_site_fract_y
_atom_site_fract_z
_atom_site_occupancy
Ac1 Ac 0.0000 0.6025 0.0000 1
Cd1 Cd 0.0000 0.0000 0.0000 1
In1 In 0.0000 0.2390 0.5000 1
Pb1 Pb 0.3333 0.6667 0.5000 1
```

Largest 10 diffraction maxima, by angle, 5° ≤ 2θ ≤ 70°:
hkl  two_theta  I_rel
1 1 1  28.42  1000
2 0 1  31.05  676
2 1 0  32.79  340
3 0 0  37.33  323
0 0 2  37.72  263
2 1 1  37.96  227
3 1 1  49.31  154
2 1 2  50.83  199
3 0 2  54.11  224
3 2 1  58.98  236